The following is a calculated X-ray diffraction stick pattern of Cu3I6O20. It was derived from DFT lattice parameters and positions (PBE), using λ = 1.5418 Å (Cu Kα).
Lines closer than 0.1° are merged.

Structure:
Lattice parameters (Å, degrees): 7.262 7.782 8.174 105.50 95.19 93.63
Space group P-1 (No. 2)
Inequivalent atoms, fractional coordinates:
Cu1 0.000 0.000 0.000 (multiplicity 1)
Cu2 0.419 0.375 0.587 (multiplicity 2)
I1 0.143 0.600 0.853 (multiplicity 2)
I2 0.184 0.853 0.403 (multiplicity 2)
I3 0.396 0.124 0.863 (multiplicity 2)
O1 0.070 0.817 0.817 (multiplicity 2)
O2 0.081 0.530 0.182 (multiplicity 2)
O3 0.160 0.166 0.938 (multiplicity 2)
O4 0.194 0.081 0.548 (multiplicity 2)
O5 0.204 0.524 0.632 (multiplicity 2)
O6 0.250 0.897 0.206 (multiplicity 2)
O7 0.399 0.418 0.368 (multiplicity 2)
O8 0.416 0.812 0.495 (multiplicity 2)
O9 0.418 0.347 0.821 (multiplicity 2)
O10 0.470 0.810 0.927 (multiplicity 2)

Most intense lines, 10 to 90 degrees two-theta, in order of rising 2θ:
(hkl)  Position (°2θ)  Rel. int.
0 1 -2  22.57  35
1 1 1  23.58  100
1 0 -2  24.65  44
1 -2 1  26.08  64
2 -1 0  26.48  96
2 1 -1  28.34  43
2 1 0  28.48  33
0 2 1  29.19  37
-1 2 1  30.36  36
1 1 -3  34.41  33

=====

The following is a calculated X-ray diffraction stick pattern of Ho2Al. It was derived from DFT lattice parameters and positions (PBE), using λ = 1.5418 Å (Cu Kα).
Lines closer than 0.1° are merged.

Structure:
Lattice parameters (Å, degrees): 6.529 5.078 9.412 90.00 90.00 90.00
Space group Pnma (No. 62)
Inequivalent atoms, fractional coordinates:
Ho1 0.027 0.250 0.210 (multiplicity 4)
Ho2 0.188 0.250 0.573 (multiplicity 4)
Al1 0.208 0.250 0.897 (multiplicity 4)

Most intense lines, 10 to 90 degrees two-theta, in order of rising 2θ:
(hkl)  Position (°2θ)  Rel. int.
1 0 2  23.30  31
1 1 1  24.13  57
1 1 2  29.27  44
2 1 0  32.61  39
2 0 2  33.41  49
0 1 3  33.58  100
2 1 1  34.01  96
0 2 0  35.35  59
2 2 2  49.43  34
3 1 4  60.76  35